Co3Si4H2O12: theoretical powder XRD pattern (Cu Kα (λ = 1.5418 Å)), based on a crystal structure in OQMD, relaxed with GGA+U.

Crystal structure
```
Co3Si4H2O12
1.0
5.276 0.000 0.000
2.621 4.583 0.000
1.490 0.075 9.112
Co Si H O
3 4 2 12
direct
0.000 0.000 0.000
0.331 0.335 0.000
0.669 0.665 0.000
0.252 0.993 0.302
0.416 0.675 0.697
0.584 0.325 0.303
0.748 0.007 0.698
0.060 0.340 0.774
0.940 0.660 0.226
0.032 0.333 0.881
0.098 0.879 0.639
0.302 0.996 0.124
0.363 0.195 0.365
0.368 0.672 0.876
0.440 0.658 0.362
0.560 0.342 0.638
0.632 0.328 0.124
0.637 0.805 0.635
0.698 0.004 0.876
0.902 0.121 0.361
0.968 0.667 0.119
```

Peak list (10 most intense, 2θ from 10° to 90°, by angle)
| hkl | Position (°2θ) | I (rel.) |
| --- | --- | --- |
| 1 0 0 | 19.5 | 35 |
| 0 0 3 | 29.4 | 100 |
| 1 2 0 | 34.1 | 27 |
| 2 1 1 | 34.3 | 33 |
| -1 1 1 | 36.1 | 54 |
| 1 2 -1 | 36.4 | 53 |
| 2 1 2 | 36.9 | 51 |
| -1 1 2 | 40.8 | 26 |
| 2 1 -2 | 42.7 | 25 |
| 0 3 0 | 60.7 | 34 |